Theoretical powder XRD pattern
Compound: VNiP2O8
Radiation: Cu Kα X-rays
Structure: DFT lattice parameters and positions (PBE+U)
Neutral-atom scattering factors, no anomalous dispersion.

Cell and atoms:
abc: 4.7981 5.8108 9.8821
angles: 90.00 90.88 90.00
Fractional positions:
V: 0.0576 0.2500 0.2778
V: 0.9424 0.7500 0.7222
Ni: 0.4410 0.2500 0.7744
Ni: 0.5590 0.7500 0.2256
P: 0.0853 0.7500 0.4114
P: 0.3808 0.7500 0.9051
P: 0.6192 0.2500 0.0949
P: 0.9147 0.2500 0.5886
O: 0.1791 0.7500 0.5614
O: 0.2236 0.5477 0.8282
O: 0.2236 0.9523 0.8282
O: 0.2271 0.2500 0.6033
O: 0.2269 0.5390 0.3354
O: 0.2269 0.9610 0.3354
O: 0.3056 0.2500 0.1277
O: 0.3376 0.7500 0.0553
O: 0.6624 0.2500 0.9447
O: 0.6944 0.7500 0.8723
O: 0.7731 0.0390 0.6646
O: 0.7731 0.4610 0.6646
O: 0.7729 0.7500 0.3967
O: 0.7764 0.0477 0.1718
O: 0.7764 0.4523 0.1718
O: 0.8209 0.2500 0.4386

Main lines, by angle (2θ = 15–90°):
Position (°2θ)  d [Å]  I_rel
18.0  4.940  88
20.5  4.342  69
20.7  4.290  43
23.6  3.764  27
25.6  3.477  76
25.8  3.451  49
30.0  2.978  28
30.8  2.905  100
36.3  2.475  62
36.7  2.446  67